For Pu3Th2Si4, a structure optimized by DFT (PBE) gives the theoretical powder XRD pattern in this record (Cu Kα).

```
Pu3Th2Si4
1.0
7.764 0.000 0.000
0.000 7.690 0.000
-2.437 0.000 7.003
Pu Th Si
6 4 8
direct
0.000 0.000 0.000
0.000 0.500 0.500
0.246 0.193 0.755
0.246 0.307 0.255
0.754 0.693 0.745
0.754 0.807 0.245
0.309 0.673 0.930
0.309 0.827 0.430
0.691 0.173 0.570
0.691 0.327 0.070
0.016 0.614 0.122
0.016 0.886 0.622
0.434 0.030 0.135
0.434 0.470 0.635
0.566 0.530 0.365
0.566 0.970 0.865
0.984 0.114 0.378
0.984 0.386 0.878
```

Most intense lines, 10° ≤ 2θ ≤ 90°, sorted by position:
h k l, 2theta, Rel. int.
2 0 0, 24.3, 17.4
1 2 0, 26.2, 16.3
0 2 1, 26.4, 18.6
1 1 -2, 27.0, 36.4
2 0 -2, 28.9, 21.4
2 2 -1, 33.2, 45.0
1 1 2, 33.8, 100.0
3 0 -2, 37.3, 37.0
1 1 -3, 38.2, 20.4
4 2 -2, 53.8, 14.8



For PuTh2Si6, a structure optimized by DFT (PBE) gives the theoretical powder XRD pattern in this record (Cu Kα).

```
PuTh2Si6
1.0
7.093 0.000 0.000
-3.546 6.142 0.000
0.000 0.000 4.112
Pu Th Si
1 2 6
direct
0.000 0.000 0.000
0.333 0.667 0.000
0.667 0.333 0.000
0.000 0.331 0.500
0.000 0.669 0.500
0.331 0.000 0.500
0.331 0.331 0.500
0.669 0.000 0.500
0.669 0.669 0.500
```

Most intense lines, 10° ≤ 2θ ≤ 90°, sorted by position:
h k l, 2theta, Rel. int.
0 0 1, 21.6, 20.2
1 1 0, 25.1, 60.3
1 1 1, 33.4, 100.0
3 0 0, 44.2, 28.5
3 0 1, 49.7, 15.1
1 1 2, 51.4, 18.6
2 2 1, 56.5, 22.8
3 0 2, 64.2, 19.2
1 1 3, 74.2, 10.4
4 1 1, 74.4, 20.6



For Pu2Ti3Si4, a structure optimized by DFT (PBE) gives the theoretical powder XRD pattern in this record (Cu Kα).

```
Pu2Ti3Si4
1.0
7.020 0.000 0.000
0.000 6.985 0.000
-2.315 0.000 6.490
Pu Ti Si
4 6 8
direct
0.182 0.159 0.063
0.182 0.341 0.563
0.818 0.659 0.437
0.818 0.841 0.937
0.255 0.675 0.250
0.255 0.825 0.750
0.500 0.000 0.500
0.500 0.500 0.000
0.745 0.175 0.250
0.745 0.325 0.750
0.086 0.540 0.875
0.086 0.960 0.375
0.493 0.128 0.868
0.493 0.372 0.368
0.507 0.628 0.632
0.507 0.872 0.132
0.914 0.040 0.625
0.914 0.460 0.125
```

Most intense lines, 10° ≤ 2θ ≤ 90°, sorted by position:
h k l, 2theta, Rel. int.
1 1 0, 18.5, 77.4
0 1 1, 18.7, 31.4
1 0 -2, 26.2, 32.8
2 1 0, 29.9, 29.4
1 2 -1, 30.0, 27.2
1 2 1, 34.1, 100.0
2 2 -1, 36.6, 62.8
1 1 2, 37.0, 52.6
0 3 1, 41.2, 43.5
1 1 -3, 41.4, 27.2



For Tm4PuSi4, a structure optimized by DFT (PBE) gives the theoretical powder XRD pattern in this record (Cu Kα).

```
Tm4PuSi4
1.0
8.936 0.000 0.000
0.000 8.936 0.000
0.000 0.000 5.655
Tm Pu Si
8 2 8
direct
0.082 0.654 0.126
0.154 0.918 0.626
0.346 0.582 0.626
0.418 0.846 0.126
0.582 0.154 0.874
0.654 0.418 0.374
0.846 0.082 0.374
0.918 0.346 0.874
0.250 0.250 0.250
0.750 0.750 0.750
0.028 0.611 0.625
0.111 0.972 0.125
0.389 0.528 0.125
0.472 0.889 0.625
0.528 0.111 0.375
0.611 0.472 0.875
0.889 0.028 0.875
0.972 0.389 0.375
```

Most intense lines, 10° ≤ 2θ ≤ 90°, sorted by position:
h k l, 2theta, Rel. int.
1 0 1, 18.6, 19.5
2 1 1, 27.3, 100.0
1 3 0, 31.7, 84.9
2 2 1, 32.5, 20.4
1 0 2, 33.2, 37.6
3 1 1, 35.5, 17.6
3 0 2, 44.2, 17.4
4 2 0, 45.4, 32.5
1 4 2, 53.3, 16.1
5 0 1, 53.8, 32.4